# 1
This entry pairs a crystal structure of Tb3Sn3Pb4 with its simulated PXRD pattern. Radiation: Cu Kα, 1.54184 Å. Structure: DFT lattice parameters and positions (PBE).
Lines closer than 0.1° are merged.

Structure:
```
Tb3Sn3Pb4
1.0
2.249 -13.427 0.000
2.249 13.427 0.000
0.000 0.000 4.591
Tb Sn Pb
3 3 4
direct
0.000 0.000 0.000 Tb
0.307 0.693 0.500 Tb
0.693 0.307 0.500 Tb
0.211 0.789 0.000 Sn
0.500 0.500 0.500 Sn
0.789 0.211 0.000 Sn
0.097 0.903 0.500 Pb
0.402 0.598 0.000 Pb
0.598 0.402 0.000 Pb
0.903 0.097 0.500 Pb
```

Main lines, sorted by position (5 to 70 degrees two-theta):
2θ = 32.47°, rel. 1000; 2θ = 33.37°, rel. 213; 2θ = 39.25°, rel. 155; 2θ = 40.09°, rel. 147; 2θ = 52.44°, rel. 121; 2θ = 59.07°, rel. 150; 2θ = 66.89°, rel. 129; 2θ = 68.03°, rel. 236


# 2
This entry pairs a crystal structure of KNaLaOsO5 with its simulated PXRD pattern. Radiation: Cu Kα, 1.54184 Å. Structure: DFT lattice parameters and positions (PBE).
Lines closer than 0.1° are merged.

Structure:
```
KNaLaOsO5
1.0
5.794 0.000 0.000
0.000 5.794 0.000
0.000 0.000 8.055
K Na La Os O
2 2 2 2 10
direct
0.250 0.750 0.000 K
0.750 0.250 0.000 K
0.250 0.250 0.234 Na
0.750 0.750 0.766 Na
0.250 0.750 0.500 La
0.750 0.250 0.500 La
0.250 0.250 0.732 Os
0.750 0.750 0.268 Os
0.015 0.015 0.682 O
0.015 0.485 0.682 O
0.250 0.250 0.963 O
0.485 0.015 0.682 O
0.485 0.485 0.682 O
0.515 0.515 0.318 O
0.515 0.985 0.318 O
0.750 0.750 0.037 O
0.985 0.515 0.318 O
0.985 0.985 0.318 O
```

Main lines, sorted by position (5 to 70 degrees two-theta):
2θ = 10.98°, rel. 325; 2θ = 18.87°, rel. 724; 2θ = 30.87°, rel. 431; 2θ = 31.14°, rel. 1000; 2θ = 36.43°, rel. 245; 2θ = 44.22°, rel. 299; 2θ = 55.07°, rel. 395; 2θ = 55.58°, rel. 206


# 3
This entry pairs a crystal structure of DyRe4SiGe with its simulated PXRD pattern. Radiation: Cu Kα, 1.54184 Å. Structure: DFT lattice parameters and positions (PBE).
Lines closer than 0.1° are merged.

Structure:
```
DyRe4SiGe
1.0
4.059 0.000 0.000
0.000 4.112 0.000
0.000 0.000 14.250
Dy Re Si Ge
2 8 2 2
direct
0.000 0.000 0.000 Dy
0.000 0.500 0.500 Dy
0.000 0.000 0.309 Re
0.000 0.000 0.700 Re
0.000 0.500 0.200 Re
0.000 0.500 0.809 Re
0.500 0.000 0.193 Re
0.500 0.000 0.816 Re
0.500 0.500 0.316 Re
0.500 0.500 0.693 Re
0.500 0.000 0.413 Si
0.500 0.500 0.913 Si
0.500 0.000 0.584 Ge
0.500 0.500 0.084 Ge
```

Main lines, sorted by position (5 to 70 degrees two-theta):
2θ = 12.42°, rel. 544; 2θ = 33.47°, rel. 77; 2θ = 36.40°, rel. 1000; 2θ = 37.88°, rel. 77; 2θ = 44.05°, rel. 223; 2θ = 44.66°, rel. 563; 2θ = 55.20°, rel. 106; 2θ = 64.52°, rel. 144


# 4
This entry pairs a crystal structure of Ac2Lu2In with its simulated PXRD pattern. Radiation: Cu Kα, 1.54184 Å. Structure: DFT lattice parameters and positions (PBE).
Lines closer than 0.1° are merged.

Structure:
```
Ac2Lu2In
1.0
5.041 0.000 0.000
-2.520 4.365 0.000
0.000 0.000 19.661
Ac Lu In
4 4 2
direct
0.333 0.667 0.150 Ac
0.333 0.667 0.350 Ac
0.667 0.333 0.650 Ac
0.667 0.333 0.850 Ac
0.333 0.667 0.541 Lu
0.333 0.667 0.959 Lu
0.667 0.333 0.041 Lu
0.667 0.333 0.459 Lu
0.000 0.000 0.000 In
0.000 0.000 0.500 In
```

Main lines, sorted by position (5 to 70 degrees two-theta):
2θ = 9.00°, rel. 509; 2θ = 20.34°, rel. 229; 2θ = 20.84°, rel. 306; 2θ = 30.60°, rel. 1000; 2θ = 35.62°, rel. 614; 2θ = 45.41°, rel. 211; 2θ = 47.65°, rel. 300; 2θ = 60.89°, rel. 292


# 5
This entry pairs a crystal structure of Li6Zr2Ga with its simulated PXRD pattern. Radiation: Cu Kα, 1.54184 Å. Structure: DFT lattice parameters and positions (PBE).
Lines closer than 0.1° are merged.

Structure:
```
Li6Zr2Ga
1.0
3.417 0.000 0.000
0.000 3.436 0.000
0.000 0.000 13.102
Li Zr Ga
6 2 1
direct
0.000 0.000 0.000 Li
0.000 0.000 0.500 Li
0.000 0.500 0.147 Li
0.000 0.500 0.853 Li
0.500 0.000 0.146 Li
0.500 0.000 0.854 Li
0.000 0.000 0.311 Zr
0.000 0.000 0.689 Zr
0.500 0.500 0.000 Ga
```

Main lines, sorted by position (5 to 70 degrees two-theta):
2θ = 20.33°, rel. 1000; 2θ = 26.83°, rel. 412; 2θ = 26.97°, rel. 406; 2θ = 29.35°, rel. 618; 2θ = 29.48°, rel. 611; 2θ = 37.11°, rel. 523; 2θ = 42.68°, rel. 775; 2θ = 43.48°, rel. 657


# 6
This entry pairs a crystal structure of DyEr2Fe6CoNi2 with its simulated PXRD pattern. Radiation: Cu Kα, 1.54184 Å. Structure: DFT lattice parameters and positions (PBE).
Lines closer than 0.1° are merged.

Structure:
```
DyEr2Fe6CoNi2
1.0
2.495 1.441 8.177
-2.495 1.441 8.177
0.000 -2.881 8.177
Dy Er Fe Co Ni
1 2 6 1 2
direct
0.000 0.000 0.000 Dy
0.142 0.142 0.142 Er
0.858 0.858 0.858 Er
0.082 0.583 0.583 Fe
0.417 0.417 0.918 Fe
0.417 0.918 0.417 Fe
0.583 0.082 0.583 Fe
0.583 0.583 0.082 Fe
0.918 0.417 0.417 Fe
0.500 0.500 0.500 Co
0.333 0.333 0.333 Ni
0.667 0.667 0.667 Ni
```

Main lines, sorted by position (5 to 70 degrees two-theta):
2θ = 32.90°, rel. 500; 2θ = 35.96°, rel. 880; 2θ = 41.97°, rel. 336; 2θ = 42.44°, rel. 1000; 2θ = 45.83°, rel. 225; 2θ = 62.76°, rel. 153; 2θ = 64.67°, rel. 215; 2θ = 69.13°, rel. 215


# 7
This entry pairs a crystal structure of NdGdHg6 with its simulated PXRD pattern. Radiation: Cu Kα, 1.54184 Å. Structure: DFT lattice parameters and positions (PBE).
Lines closer than 0.1° are merged.

Structure:
```
NdGdHg6
1.0
6.659 0.000 0.000
-3.329 5.767 0.000
0.000 0.000 5.032
Nd Gd Hg
1 1 6
direct
0.000 0.000 0.000 Nd
0.667 0.333 0.500 Gd
0.001 0.500 0.000 Hg
0.170 0.340 0.500 Hg
0.170 0.830 0.500 Hg
0.500 0.500 0.000 Hg
0.500 0.999 0.000 Hg
0.660 0.830 0.500 Hg
```

Main lines, sorted by position (5 to 70 degrees two-theta):
2θ = 31.01°, rel. 244; 2θ = 35.68°, rel. 226; 2θ = 35.89°, rel. 1000; 2θ = 47.99°, rel. 148; 2θ = 55.17°, rel. 196; 2θ = 64.24°, rel. 188; 2θ = 67.46°, rel. 216; 2θ = 67.59°, rel. 161


# 8
This entry pairs a crystal structure of Pr2I2BrN with its simulated PXRD pattern. Radiation: Cu Kα, 1.54184 Å. Structure: DFT lattice parameters and positions (PBE).
Lines closer than 0.1° are merged.

Structure:
```
Pr2I2BrN
1.0
10.114 -2.067 0.000
10.114 2.067 0.000
-7.607 0.000 10.074
Pr I Br N
4 4 2 2
direct
0.071 0.071 0.462 Pr
0.363 0.363 0.215 Pr
0.637 0.637 0.785 Pr
0.929 0.929 0.538 Pr
0.277 0.277 0.367 I
0.468 0.468 0.765 I
0.532 0.532 0.235 I
0.723 0.723 0.633 I
0.174 0.174 0.002 Br
0.826 0.826 0.998 Br
0.074 0.074 0.652 N
0.926 0.926 0.348 N
```

Main lines, sorted by position (5 to 70 degrees two-theta):
2θ = 8.78°, rel. 468; 2θ = 9.01°, rel. 957; 2θ = 25.13°, rel. 682; 2θ = 28.32°, rel. 553; 2θ = 28.73°, rel. 566; 2θ = 30.52°, rel. 1000; 2θ = 32.53°, rel. 487; 2θ = 36.15°, rel. 666